The following is a theoretical powder diffractogram of Li3Mn3P4O16. It was derived from the PBE+U geometry in the Materials Project, using Cu Kα (weighted mean of Kα1 and Kα2).
Kinematic intensities with the Lorentz-polarization factor, no thermal factor.

Cell and atoms:
```
data_Li3Mn3P4O16
_symmetry_space_group_name_H-M 'P 1 21 1'
_symmetry_Int_Tables_number 4
_cell_length_a 7.724
_cell_length_b 8.165
_cell_length_c 10.015
_cell_angle_alpha 90.00
_cell_angle_beta 92.74
_cell_angle_gamma 90.00
loop_
_symmetry_equiv_pos_as_xyz
'x,y,z'
'-x,y+1/2,-z'
loop_
_atom_site_label
_atom_site_type_symbol
_atom_site_fract_x
_atom_site_fract_y
_atom_site_fract_z
Li1 Li 0.153 0.000 0.077
Li2 Li 0.162 0.995 0.577
Li3 Li 0.334 0.728 0.675
Mn1 Mn 0.221 0.369 0.623
Mn2 Mn 0.245 0.351 0.122
Mn3 Mn 0.341 0.719 0.188
P1 P 0.057 0.165 0.859
P2 P 0.060 0.180 0.360
P3 P 0.434 0.540 0.884
P4 P 0.440 0.540 0.398
O1 O 0.006 0.990 0.897
O2 O 0.018 0.000 0.397
O3 O 0.095 0.792 0.649
O4 O 0.104 0.780 0.137
O5 O 0.133 0.177 0.718
O6 O 0.153 0.175 0.223
O7 O 0.200 0.221 0.965
O8 O 0.203 0.238 0.467
O9 O 0.287 0.486 0.784
O10 O 0.297 0.507 0.277
O11 O 0.344 0.548 0.529
O12 O 0.361 0.534 0.029
O13 O 0.408 0.919 0.114
O14 O 0.410 0.926 0.599
O15 O 0.490 0.718 0.347
O16 O 0.491 0.713 0.851
```

The 12 most intense peaks (15 to 90 degrees two-theta), in order of falling intensity:
(1 1 0), 15.80°, d 5.608, intensity 100
(2 1 0), 25.54°, d 3.488, intensity 80
(1 1 -2), 23.42°, d 3.799, intensity 77
(1 1 2), 24.26°, d 3.669, intensity 45
(1 2 -2), 30.21°, d 2.958, intensity 39
(2 2 0), 31.91°, d 2.804, intensity 38
(1 0 2), 21.63°, d 4.108, intensity 32
(0 3 2), 37.62°, d 2.391, intensity 26
(1 0 -2), 20.70°, d 4.292, intensity 26
(0 0 4), 35.91°, d 2.501, intensity 24
(3 3 -4), 60.83°, d 1.523, intensity 20
(2 3 -2), 44.11°, d 2.053, intensity 19


The following is a theoretical powder diffractogram of Li2MnP2O8. It was derived from the PBE+U geometry in the Materials Project, using Cu Kα (weighted mean of Kα1 and Kα2).
Kinematic intensities with the Lorentz-polarization factor, no thermal factor.

Cell and atoms:
```
data_Li2MnP2O8
_symmetry_space_group_name_H-M 'P 1 21 1'
_symmetry_Int_Tables_number 4
_cell_length_a 4.849
_cell_length_b 16.910
_cell_length_c 6.964
_cell_angle_alpha 90.00
_cell_angle_beta 95.88
_cell_angle_gamma 90.00
loop_
_symmetry_equiv_pos_as_xyz
'x,y,z'
'-x,y+1/2,-z'
loop_
_atom_site_label
_atom_site_type_symbol
_atom_site_fract_x
_atom_site_fract_y
_atom_site_fract_z
Li1 Li 0.015 0.000 0.293
Li2 Li 0.048 0.808 0.887
Li3 Li 0.439 0.228 0.295
Li4 Li 0.470 0.061 0.066
Mn1 Mn 0.052 0.984 0.736
Mn2 Mn 0.441 0.244 0.751
P1 P 0.015 0.654 0.046
P2 P 0.095 0.828 0.473
P3 P 0.407 0.403 0.026
P4 P 0.482 0.578 0.466
O1 O 0.029 0.061 0.960
O2 O 0.108 0.920 0.504
O3 O 0.112 0.186 0.775
O4 O 0.115 0.190 0.140
O5 O 0.170 0.551 0.445
O6 O 0.221 0.786 0.652
O7 O 0.224 0.309 0.568
O8 O 0.240 0.810 0.287
O9 O 0.244 0.411 0.209
O10 O 0.273 0.913 0.914
O11 O 0.309 0.461 0.870
O12 O 0.336 0.671 0.067
O13 O 0.365 0.314 0.971
O14 O 0.379 0.057 0.336
O15 O 0.386 0.041 0.706
O16 O 0.489 0.671 0.453
```

The 12 most intense peaks (15 to 90 degrees two-theta), in order of falling intensity:
(1 2 -1), 23.82°, d 3.735, intensity 100
(0 4 1), 24.67°, d 3.609, intensity 72
(0 4 2), 33.45°, d 2.679, intensity 69
(1 2 1), 25.81°, d 3.452, intensity 68
(1 1 1), 24.12°, d 3.690, intensity 56
(1 6 0), 36.94°, d 2.433, intensity 47
(0 3 1), 20.31°, d 4.372, intensity 44
(1 2 -2), 32.03°, d 2.794, intensity 38
(1 3 -1), 26.62°, d 3.349, intensity 33
(1 2 -3), 43.01°, d 2.103, intensity 25
(1 5 1), 35.62°, d 2.521, intensity 19
(2 4 2), 53.09°, d 1.725, intensity 18